(1)
# VBiPb2
Simulated XRD peak list, copper Kα. Input: DFT lattice parameters and positions (PBE).

Most intense lines, 10° ≤ 2θ ≤ 80°, by angle:
2θ/deg	d/Å	Rel. int.
29.32	3.046	100
31.54	2.837	40
37.06	2.426	54
43.51	2.080	66
49.44	1.844	24
64.57	1.443	32
66.65	1.403	20
67.87	1.381	18

Structural model:
a b c (Å): 11.779 11.779 11.779
angles (deg): 158.11 158.11 31.14
Element x y z (fractional)
V 0.000 0.000 0.000
V 0.750 0.250 0.500
Bi 0.250 0.750 0.500
Bi 0.500 0.500 0.000
Pb 0.119 0.625 0.994
Pb 0.375 0.369 0.494
Pb 0.631 0.125 0.006
Pb 0.875 0.881 0.506

(2)
# TiCd4N4
Simulated XRD peak list, copper Kα. Input: DFT lattice parameters and positions (PBE).

Most intense lines, 10° ≤ 2θ ≤ 80°, by angle:
2θ/deg	d/Å	Rel. int.
32.48	2.757	100
32.56	2.750	42
32.74	2.735	50
37.12	2.422	43
37.42	2.403	40
38.77	2.323	41
53.51	1.712	15
54.83	1.674	25

Structural model:
a b c (Å): 5.833 5.886 8.827
angles (deg): 82.05 72.01 69.78
Element x y z (fractional)
Ti 0.114 0.215 0.233
Ti 0.886 0.785 0.767
Cd 0.023 0.754 0.409
Cd 0.263 0.741 0.996
Cd 0.326 0.224 0.812
Cd 0.450 0.749 0.581
Cd 0.550 0.251 0.419
Cd 0.674 0.776 0.188
Cd 0.737 0.259 0.004
Cd 0.977 0.246 0.591
N 0.046 0.001 0.812
N 0.171 0.531 0.625
N 0.309 0.339 0.044
N 0.329 0.029 0.368
N 0.671 0.971 0.632
N 0.691 0.661 0.956
N 0.829 0.469 0.375
N 0.954 0.999 0.188

(3)
# ScBRh6
Simulated XRD peak list, copper Kα. Input: DFT lattice parameters and positions (PBE).

Most intense lines, 10° ≤ 2θ ≤ 80°, by angle:
2θ/deg	d/Å	Rel. int.
29.47	3.031	27
37.42	2.403	100
37.98	2.369	35
41.17	2.192	39
44.62	2.031	64
46.03	1.972	36
63.45	1.466	23
70.39	1.338	24

Structural model:
a b c (Å): 5.054 5.054 5.054
angles (deg): 102.58 102.58 102.58
Element x y z (fractional)
Sc 0.000 0.000 0.000
B 0.500 0.500 0.500
Rh 0.214 0.214 0.619
Rh 0.214 0.619 0.214
Rh 0.381 0.786 0.786
Rh 0.619 0.214 0.214
Rh 0.786 0.381 0.786
Rh 0.786 0.786 0.381

(4)
# CsRb4Tl
Simulated XRD peak list, copper Kα. Input: DFT lattice parameters and positions (PBE).

Most intense lines, 10° ≤ 2θ ≤ 80°, by angle:
2θ/deg	d/Å	Rel. int.
14.64	6.050	34
21.12	4.207	41
22.75	3.909	32
23.52	3.782	100
28.93	3.086	57
29.35	3.043	25
38.83	2.319	26
43.00	2.104	39

Structural model:
a b c (Å): 12.949 12.949 8.151
angles (deg): 108.25 108.25 47.54
Element x y z (fractional)
Cs 0.207 0.207 0.208
Cs 0.793 0.793 0.792
Rb 0.128 0.654 0.392
Rb 0.218 0.782 0.000
Rb 0.346 0.872 0.608
Rb 0.347 0.347 0.847
Rb 0.653 0.653 0.153
Rb 0.654 0.128 0.392
Rb 0.782 0.218 0.000
Rb 0.872 0.346 0.608
Tl 0.499 0.499 0.309
Tl 0.501 0.501 0.691

(5)
# HfO3F4
Simulated XRD peak list, copper Kα. Input: DFT lattice parameters and positions (PBE).

Most intense lines, 10° ≤ 2θ ≤ 80°, by angle:
2θ/deg	d/Å	Rel. int.
14.22	6.230	100
17.01	5.212	23
17.44	5.086	14
22.89	3.885	22
28.10	3.176	21
28.37	3.146	18
33.02	2.713	12
37.29	2.411	11

Structural model:
a b c (Å): 6.649 10.425 8.866
angles (deg): 90.00 118.78 90.00
Element x y z (fractional)
Hf 0.242 0.048 0.488
Hf 0.242 0.452 0.988
Hf 0.758 0.548 0.012
Hf 0.758 0.952 0.512
O 0.168 0.226 0.923
O 0.168 0.274 0.423
O 0.308 0.130 0.003
O 0.308 0.370 0.503
O 0.487 0.655 0.390
O 0.487 0.845 0.890
O 0.513 0.155 0.110
O 0.513 0.345 0.610
O 0.692 0.630 0.497
O 0.692 0.870 0.997
O 0.832 0.726 0.577
O 0.832 0.774 0.077
F 0.074 0.607 0.022
F 0.074 0.893 0.522
F 0.079 0.055 0.239
F 0.079 0.445 0.739
F 0.389 0.119 0.719
F 0.389 0.381 0.219
F 0.465 0.605 0.034
F 0.465 0.895 0.534
F 0.535 0.105 0.466
F 0.535 0.395 0.966
F 0.611 0.619 0.781
F 0.611 0.881 0.281
F 0.921 0.555 0.261
F 0.921 0.945 0.761
F 0.926 0.107 0.478
F 0.926 0.393 0.978